No. 1
Diffraction record for Pa2Al2ReSi4. The PXRD pattern is calculated, not measured: it uses the GGA-PBE geometry in Alexandria and copper Kα.
Kinematic intensities with the Lorentz-polarization factor, no thermal factor.

Top 10 peaks for 2θ = 15–90°, low angle first:
2theta	d (Å)	intensity
18.0	4.941	20
20.6	4.308	14
29.3	3.046	49
29.6	3.016	100
36.4	2.471	29
41.9	2.154	35
42.8	2.112	16
52.2	1.753	41
52.7	1.736	18
61.5	1.508	21

```
9
Lattice="-3.046 3.046 4.224 3.046 -3.046 4.224 3.046 3.046 -4.224" Properties=species:S:1:pos:R:3 pbc="T T T"
Pa 3.046 0.000 2.112
Pa 0.000 3.046 2.112
Al 0.000 0.000 1.753
Al 0.000 0.000 6.695
Re 0.000 0.000 4.224
Si 1.332 1.332 0.000
Si 1.714 -1.714 4.224
Si -1.714 1.714 4.224
Si 1.714 1.714 4.224
```

No. 2
Diffraction record for KBaWN3. The PXRD pattern is calculated, not measured: it uses the GGA-PBE geometry in Alexandria and copper Kα.
Kinematic intensities with the Lorentz-polarization factor, no thermal factor.

Top 10 peaks for 2θ = 15–90°, low angle first:
2theta	d (Å)	intensity
15.7	5.660	100
27.9	3.201	64
29.3	3.048	74
29.5	3.029	19
32.2	2.781	74
32.4	2.762	41
38.8	2.322	33
47.4	1.918	17
48.3	1.886	23
54.1	1.695	18

```
12
Lattice="3.261 -6.059 0.000 3.261 6.059 0.000 -1.076 0.000 5.524" Properties=species:S:1:pos:R:3 pbc="T T T"
K 2.454 5.173 4.143
K 2.992 -5.173 1.381
Ba 2.992 2.939 1.381
Ba 2.454 -2.939 4.143
W 2.454 0.574 4.143
W 2.992 -0.574 1.381
N 2.025 0.519 0.097
N 2.454 2.453 4.143
N 1.487 -0.519 2.859
N 3.959 0.519 2.665
N 2.992 -2.453 1.381
N 3.421 -0.519 5.427
```

No. 3
Diffraction record for Tb3Nd3Tl. The PXRD pattern is calculated, not measured: it uses the GGA-PBE geometry in Alexandria and copper Kα.
Kinematic intensities with the Lorentz-polarization factor, no thermal factor.

Top 10 peaks for 2θ = 15–90°, low angle first:
2theta	d (Å)	intensity
28.5	3.127	24
31.6	2.828	25
32.7	2.737	100
43.1	2.098	15
50.6	1.805	19
57.0	1.615	21
60.9	1.522	21
61.5	1.507	15
83.6	1.157	12
87.7	1.113	8

```
14
Lattice="9.553 0.000 0.000 -4.777 8.274 0.000 0.000 0.000 5.656" Properties=species:S:1:pos:R:3 pbc="T T T"
Tb -3.354 6.807 1.414
Tb 0.558 1.966 1.414
Tb 1.982 0.499 4.242
Tb 2.795 7.774 1.414
Tb 4.218 6.308 4.242
Tb 8.130 1.466 4.242
Nd -1.994 5.225 4.242
Nd 1.249 3.934 4.242
Nd 4.031 0.886 1.414
Nd 0.745 7.388 4.242
Nd 3.528 4.339 1.414
Nd 6.771 3.048 1.414
Tl 0.000 5.516 1.414
Tl 4.777 2.758 4.242
```

No. 4
Diffraction record for Tm7Mg2Tc2. The PXRD pattern is calculated, not measured: it uses the GGA-PBE geometry in Alexandria and copper Kα.
Kinematic intensities with the Lorentz-polarization factor, no thermal factor.

Top 10 peaks for 2θ = 15–90°, low angle first:
2theta	d (Å)	intensity
22.7	3.918	27
27.4	3.256	42
28.3	3.155	41
30.6	2.926	92
32.3	2.768	71
34.7	2.588	34
35.9	2.503	50
38.4	2.344	100
44.5	2.037	24
56.6	1.627	42

```
11
Lattice="3.447 -5.536 0.000 3.447 5.536 0.000 0.000 0.000 7.836" Properties=species:S:1:pos:R:3 pbc="T T T"
Tm 0.000 0.000 0.000
Tm 1.723 2.768 2.102
Tm 1.723 2.768 5.734
Tm 1.723 -2.768 2.102
Tm 1.723 -2.768 5.734
Tm 3.447 0.000 1.598
Tm 3.447 0.000 6.237
Mg 1.349 0.000 3.918
Mg 5.545 0.000 3.918
Tc 3.447 2.227 0.000
Tc 3.447 -2.227 0.000
```

No. 5
Diffraction record for Rb2CrBr4Cl2. The PXRD pattern is calculated, not measured: it uses the GGA-PBE geometry in Alexandria and copper Kα.
Kinematic intensities with the Lorentz-polarization factor, no thermal factor.

Top 10 peaks for 2θ = 15–90°, low angle first:
2theta	d (Å)	intensity
23.8	3.738	18
29.7	3.012	100
32.5	2.757	27
35.3	2.542	47
48.7	1.869	32
50.8	1.798	16
56.2	1.637	13
59.9	1.544	25
61.6	1.506	16
79.1	1.210	9

```
9
Lattice="-3.596 3.596 5.514 3.596 -3.596 5.514 3.596 3.596 -5.514" Properties=species:S:1:pos:R:3 pbc="T T T"
Rb 3.596 0.000 2.757
Rb 0.000 3.596 2.757
Cr 0.000 0.000 0.000
Br 1.758 1.758 0.000
Br 1.838 -1.838 5.514
Br -1.838 1.838 5.514
Br 1.838 1.838 5.514
Cl 0.000 0.000 2.329
Cl 0.000 0.000 8.700
```

No. 6
Diffraction record for ZrTlZn. The PXRD pattern is calculated, not measured: it uses the GGA-PBE geometry in Alexandria and copper Kα.
Kinematic intensities with the Lorentz-polarization factor, no thermal factor.

Top 10 peaks for 2θ = 15–90°, low angle first:
2theta	d (Å)	intensity
24.8	3.591	11
31.6	2.827	17
33.2	2.700	32
36.4	2.470	100
37.6	2.394	22
51.0	1.791	18
61.4	1.511	22
64.6	1.442	9
67.0	1.396	15
77.2	1.235	11

```
3
Lattice="0.000 2.700 7.181 1.705 0.000 7.181 1.705 2.700 0.000" Properties=species:S:1:pos:R:3 pbc="T T T"
Zr 0.000 0.000 0.000
Tl 1.705 2.700 9.776
Zn 1.705 2.700 4.917
```

No. 7
Diffraction record for KCaAg2F8. The PXRD pattern is calculated, not measured: it uses the GGA-PBE geometry in Alexandria and copper Kα.
Kinematic intensities with the Lorentz-polarization factor, no thermal factor.

Top 10 peaks for 2θ = 15–90°, low angle first:
2theta	d (Å)	intensity
17.2	5.170	54
27.6	3.236	100
29.4	3.037	39
31.0	2.887	19
34.2	2.619	16
36.5	2.461	34
42.1	2.148	20
47.5	1.912	21
51.0	1.789	62
76.3	1.248	17

```
12
Lattice="-3.037 3.037 4.923 3.037 -3.037 4.923 3.037 3.037 -4.923" Properties=species:S:1:pos:R:3 pbc="T T T"
K 0.000 0.000 0.000
Ca 3.037 0.000 2.461
Ag 0.000 0.000 4.923
Ag 0.000 3.037 2.461
F 4.108 1.850 -2.639
F 2.684 1.106 0.144
F -1.071 1.187 2.284
F 1.931 -0.353 4.779
F 1.106 3.390 -0.144
F 1.850 1.966 2.639
F 0.353 1.931 5.066
F 1.187 1.071 7.561
```

No. 8
Diffraction record for BaNa2CdF8. The PXRD pattern is calculated, not measured: it uses the GGA-PBE geometry in Alexandria and copper Kα.
Kinematic intensities with the Lorentz-polarization factor, no thermal factor.

Top 10 peaks for 2θ = 15–90°, low angle first:
2theta	d (Å)	intensity
17.2	5.168	64
20.2	4.392	47
21.4	4.158	44
26.5	3.364	54
26.8	3.329	52
27.5	3.239	100
41.1	2.196	53
43.5	2.079	28
46.1	1.970	51
46.4	1.956	50

```
12
Lattice="4.392 0.000 0.000 0.000 8.315 0.000 -0.055 0.000 5.168" Properties=species:S:1:pos:R:3 pbc="T T T"
Ba 0.000 0.000 0.000
Na 2.169 2.259 2.584
Na 2.169 6.056 2.584
Cd 0.000 4.158 0.000
F -0.007 2.321 1.332
F -0.007 5.994 1.332
F 2.140 0.000 3.742
F 2.185 4.158 1.178
F 2.152 4.158 3.989
F 2.198 0.000 1.426
F 4.344 2.321 3.835
F 4.344 5.994 3.835
```

No. 9
Diffraction record for Li6GaAu5. The PXRD pattern is calculated, not measured: it uses the GGA-PBE geometry in Alexandria and copper Kα.
Kinematic intensities with the Lorentz-polarization factor, no thermal factor.

Top 10 peaks for 2θ = 15–90°, low angle first:
2theta	d (Å)	intensity
24.9	3.573	77
30.4	2.940	90
39.7	2.270	100
43.3	2.091	20
43.8	2.067	18
50.6	1.805	23
51.1	1.788	33
60.7	1.527	26
69.1	1.359	27
76.9	1.239	15

```
12
Lattice="-2.091 3.573 6.200 2.091 -3.573 6.200 2.091 3.573 -6.200" Properties=species:S:1:pos:R:3 pbc="T T T"
Li 2.091 1.728 -2.098
Li 0.000 1.673 0.000
Li 2.091 1.728 2.098
Li 0.000 1.845 4.102
Li 0.000 5.473 0.000
Li 0.000 1.845 8.298
Ga 0.000 0.000 6.200
Au 2.091 0.000 0.000
Au 0.000 0.000 2.127
Au 2.091 0.000 4.271
Au 0.000 3.573 1.929
Au 0.000 0.000 10.273
```

No. 10
Diffraction record for TbDy5ErTh2. The PXRD pattern is calculated, not measured: it uses the GGA-PBE geometry in Alexandria and copper Kα.
Kinematic intensities with the Lorentz-polarization factor, no thermal factor.

Top 10 peaks for 2θ = 15–90°, low angle first:
2theta	d (Å)	intensity
28.6	3.116	71
28.9	3.091	53
30.9	2.898	100
32.4	2.764	18
34.5	2.603	17
37.0	2.427	18
37.6	2.395	26
43.0	2.102	27
46.9	1.935	14
52.4	1.745	23

```
18
Lattice="-4.371 4.371 7.741 4.371 -4.371 7.741 4.371 4.371 -7.741" Properties=species:S:1:pos:R:3 pbc="T T T"
Tb 0.000 0.000 3.871
Tb 0.000 0.000 11.612
Dy 0.000 0.000 0.000
Dy 6.212 1.841 -2.165
Dy 1.841 2.530 -2.165
Dy 6.212 1.841 2.165
Dy 1.841 2.530 2.165
Dy 0.000 0.000 7.741
Dy 2.530 1.841 5.576
Dy -1.841 2.530 5.576
Dy 2.530 1.841 9.906
Dy -1.841 2.530 9.906
Er 4.371 0.000 3.871
Er 0.000 4.371 3.871
Th 3.325 1.045 0.000
Th 3.325 -1.045 7.741
Th 1.045 5.416 0.000
Th 1.045 3.325 7.741
```

No. 11
Diffraction record for Ac4CuAu. The PXRD pattern is calculated, not measured: it uses the GGA-PBE geometry in Alexandria and copper Kα.
Kinematic intensities with the Lorentz-polarization factor, no thermal factor.

Top 10 peaks for 2θ = 15–90°, low angle first:
2theta	d (Å)	intensity
20.2	4.397	12
23.3	3.819	11
23.4	3.802	23
33.3	2.692	100
41.1	2.198	11
47.9	1.901	12
53.9	1.701	10
59.4	1.557	13
59.5	1.553	26
79.7	1.202	11

```
6
Lattice="3.802 -3.802 0.000 3.802 3.802 0.000 -0.004 0.000 7.639" Properties=species:S:1:pos:R:3 pbc="T T T"
Ac 1.894 -0.003 1.866
Ac 1.899 0.000 5.765
Ac 5.700 0.000 1.874
Ac 5.705 -0.003 5.773
Cu 3.802 -1.895 0.000
Au 3.800 1.898 3.819
```